Simulated powder X-ray diffraction pattern of Ba4MgRh4O12 for Cu Kα X-rays, from a structure optimized by DFT (GGA-PBE).
Intensities are scaled so that the largest is 100.

Structure:
```
Ba4MgRh4O12
1.0
5.347 -2.856 0.000
5.347 2.856 0.000
-1.607 0.000 10.086
Ba Mg Rh O
4 1 4 12
direct
0.000 0.000 0.000
0.284 0.284 0.794
0.538 0.538 0.337
0.916 0.916 0.570
0.764 0.764 0.189
0.236 0.236 0.442
0.270 0.270 0.174
0.599 0.599 0.663
0.668 0.668 0.932
0.026 0.545 0.042
0.067 0.560 0.327
0.113 0.113 0.267
0.330 0.792 0.805
0.371 0.897 0.538
0.400 0.400 0.584
0.545 0.026 0.042
0.560 0.067 0.327
0.576 0.576 0.089
0.772 0.772 0.774
0.792 0.330 0.805
0.897 0.371 0.538
```

Largest 12 diffraction maxima, in order of rising 2θ, 2θ = 15–90°:
| 2theta | I/Imax |
| --- | --- |
| 24.0 | 51 |
| 26.0 | 47 |
| 29.2 | 48 |
| 29.8 | 100 |
| 29.9 | 86 |
| 31.3 | 96 |
| 33.2 | 60 |
| 33.8 | 30 |
| 41.3 | 27 |
| 43.3 | 59 |
| 46.7 | 31 |
| 54.8 | 34 |

***

Simulated powder X-ray diffraction pattern of Ba4MgRh4O12 for Cu Kα X-rays, from a structure optimized by DFT (GGA-PBE).
Intensities are scaled so that the largest is 100.

Structure:
```
Ba4MgRh4O12
1.0
5.836 0.000 0.000
-2.918 5.054 0.000
0.000 0.000 10.212
Ba Mg Rh O
4 1 4 12
direct
0.000 0.000 0.000
0.333 0.667 0.304
0.333 0.667 0.696
0.667 0.333 0.500
0.333 0.667 0.000
0.000 0.000 0.366
0.000 0.000 0.634
0.667 0.333 0.141
0.667 0.333 0.859
0.152 0.305 0.500
0.152 0.848 0.500
0.325 0.162 0.244
0.325 0.162 0.756
0.518 0.035 0.000
0.518 0.482 0.000
0.695 0.848 0.500
0.838 0.162 0.244
0.838 0.162 0.756
0.838 0.675 0.244
0.838 0.675 0.756
0.965 0.482 0.000
```

Largest 12 diffraction maxima, in order of rising 2θ, 2θ = 15–90°:
| 2theta | I/Imax |
| --- | --- |
| 24.8 | 23 |
| 30.6 | 100 |
| 31.7 | 71 |
| 39.8 | 21 |
| 44.7 | 37 |
| 48.0 | 12 |
| 54.5 | 20 |
| 55.1 | 31 |
| 63.3 | 11 |
| 63.8 | 18 |
| 73.0 | 13 |
| 88.7 | 11 |

***

Simulated powder X-ray diffraction pattern of Ba4MgRh4O12 for Cu Kα X-rays, from a structure optimized by DFT (GGA-PBE).
Intensities are scaled so that the largest is 100.

Structure:
```
Ba4MgRh4O12
1.0
5.357 -2.915 0.000
5.357 2.915 0.000
-0.336 0.000 10.296
Ba Mg Rh O
4 1 4 12
direct
0.000 0.000 0.000
0.044 0.044 0.430
0.354 0.354 0.191
0.753 0.753 0.636
0.471 0.471 0.770
0.243 0.243 0.832
0.376 0.376 0.522
0.687 0.687 0.041
0.694 0.694 0.308
0.005 0.546 0.928
0.019 0.517 0.422
0.225 0.225 0.648
0.229 0.699 0.633
0.396 0.853 0.174
0.516 0.516 0.390
0.517 0.019 0.422
0.524 0.524 0.946
0.546 0.005 0.928
0.699 0.229 0.633
0.838 0.838 0.184
0.853 0.396 0.174
```

Largest 12 diffraction maxima, in order of rising 2θ, 2θ = 15–90°:
| 2theta | I/Imax |
| --- | --- |
| 24.4 | 42 |
| 24.7 | 49 |
| 29.3 | 88 |
| 30.4 | 79 |
| 30.7 | 90 |
| 31.1 | 100 |
| 31.4 | 25 |
| 31.6 | 32 |
| 33.8 | 26 |
| 39.6 | 37 |
| 44.5 | 30 |
| 49.1 | 20 |

***

Simulated powder X-ray diffraction pattern of Ba3MgSb2O8 for Cu Kα X-rays, from a structure optimized by DFT (GGA-PBE).
Intensities are scaled so that the largest is 100.

Structure:
```
Ba3MgSb2O8
1.0
5.988 0.000 0.000
-2.994 5.186 0.000
0.000 0.000 7.886
Ba Mg Sb O
3 1 2 8
direct
0.000 0.000 0.000
0.333 0.667 0.638
0.667 0.333 0.362
0.000 0.000 0.500
0.333 0.667 0.209
0.667 0.333 0.791
0.164 0.328 0.332
0.164 0.836 0.332
0.328 0.164 0.668
0.333 0.667 0.955
0.667 0.333 0.045
0.672 0.836 0.332
0.836 0.164 0.668
0.836 0.672 0.668
```

Largest 12 diffraction maxima, in order of rising 2θ, 2θ = 15–90°:
| 2theta | I/Imax |
| --- | --- |
| 20.5 | 22 |
| 28.4 | 77 |
| 29.8 | 100 |
| 38.4 | 21 |
| 41.7 | 43 |
| 49.4 | 21 |
| 52.1 | 29 |
| 53.0 | 20 |
| 58.8 | 22 |
| 62.0 | 16 |
| 69.6 | 13 |
| 85.9 | 10 |

***

Simulated powder X-ray diffraction pattern of BaMgSeO4 for Cu Kα X-rays, from a structure optimized by DFT (GGA-PBE).
Intensities are scaled so that the largest is 100.

Structure:
```
BaMgSeO4
1.0
0.000 4.359 4.359
4.359 0.000 4.359
4.359 4.359 0.000
Ba Mg Se O
1 1 1 4
direct
0.000 0.000 0.000
0.750 0.750 0.750
0.500 0.500 0.500
0.126 0.625 0.625
0.625 0.126 0.625
0.625 0.625 0.126
0.625 0.625 0.625
```

Largest 12 diffraction maxima, in order of rising 2θ, 2θ = 15–90°:
| 2theta | I/Imax |
| --- | --- |
| 17.6 | 13 |
| 20.4 | 73 |
| 29.0 | 100 |
| 34.1 | 13 |
| 35.7 | 26 |
| 41.4 | 10 |
| 46.6 | 32 |
| 51.3 | 40 |
| 60.0 | 19 |
| 64.1 | 16 |
| 68.0 | 17 |
| 82.9 | 20 |

***

Simulated powder X-ray diffraction pattern of BaMg6SiO8 for Cu Kα X-rays, from a structure optimized by DFT (GGA-PBE).
Intensities are scaled so that the largest is 100.

Structure:
```
BaMg6SiO8
1.0
4.679 0.000 0.000
0.000 4.679 0.000
0.000 0.000 9.005
Ba Mg Si O
1 6 1 8
direct
0.000 0.000 0.000
0.000 0.000 0.500
0.000 0.500 0.272
0.000 0.500 0.728
0.500 0.000 0.272
0.500 0.000 0.728
0.500 0.500 0.500
0.500 0.500 0.000
0.000 0.000 0.284
0.000 0.000 0.716
0.000 0.500 0.000
0.000 0.500 0.500
0.500 0.000 0.000
0.500 0.000 0.500
0.500 0.500 0.267
0.500 0.500 0.733
```

Largest 12 diffraction maxima, in order of rising 2θ, 2θ = 15–90°:
| 2theta | I/Imax |
| --- | --- |
| 19.0 | 31 |
| 19.7 | 19 |
| 21.4 | 44 |
| 27.5 | 27 |
| 28.7 | 28 |
| 33.6 | 48 |
| 38.5 | 100 |
| 40.1 | 38 |
| 55.6 | 31 |
| 56.8 | 50 |
| 66.5 | 17 |
| 70.7 | 24 |